This entry pairs a crystal structure of In2BCl5 with its calculated powder diffraction line list. Radiation: λ = 1.5418 Å (Cu Kα). Structure: a cell relaxed with GGA-PBE.
No peak broadening, texture or thermal motion is included.

Atomic structure:
Cell: 8.7708 14.5708 6.2617 Å, 90.00 134.40 90.00°
Space group Cm (No. 8)
Inequivalent atoms, fractional coordinates:
In1 0.0000 0.2498 0.0000 x4
B1 0.0263 0.0000 0.5025 x2
Cl1 0.0217 0.2522 0.5043 x4
Cl2 0.0963 0.0000 0.8404 x2
Cl3 0.2256 0.0000 0.5028 x2
Cl4 0.2588 0.5000 0.1642 x2

The 10 most intense peaks (10 to 90 degrees two-theta), by angle:
two_theta, intensity, h k l
12.15, 61, 0 2 0
23.33, 23, 0 2 1
23.68, 29, 2 2 -1
24.44, 69, 0 4 0
28.50, 35, 2 0 -2
31.08, 100, 2 2 0
37.89, 31, 2 4 -2
42.28, 19, 0 2 2
47.35, 18, 2 6 0
47.38, 15, 2 6 -2